The following is a calculated powder diffractogram of SrCaZrFeO6. It was derived from a crystal structure in the Materials Project, relaxed with GGA+U, using Cu Kα X-rays.
Neutral-atom scattering factors, no anomalous dispersion.

Cell lengths 8.0446, 8.0446, 8.0446 Å; angles 90.00, 90.00, 90.00 degrees
Space group F-43m (No. 216)
One atom of each set of equivalent atoms:
Sr (0.0000, 0.0000, 0.0000) x4
Ca (0.0000, 0.0000, 0.5000) x4
Zr (0.2500, 0.2500, 0.2500) x4
Fe (0.2500, 0.2500, 0.7500) x4
O (0.0077, 0.2500, 0.7500) x24

Principal peaks in the range 2θ = 10–90°, sorted by position:
| h k l | two_theta | I (rel.) |
| --- | --- | --- |
| 1 1 1 | 19.11 | 10 |
| 2 2 0 | 31.45 | 100 |
| 4 0 0 | 45.08 | 40 |
| 4 2 2 | 56.00 | 38 |
| 4 4 0 | 65.65 | 23 |
| 6 2 0 | 74.61 | 16 |

***

The following is a calculated powder diffractogram of Li4Mn3O6F. It was derived from a crystal structure in the Materials Project, relaxed with GGA+U, using Cu Kα X-rays.
Neutral-atom scattering factors, no anomalous dispersion.

Cell lengths 9.2475, 4.4484, 6.4569 Å; angles 90.00, 98.29, 90.00 degrees
Space group C2/m (No. 12)
One atom of each set of equivalent atoms:
Li (0.0752, 0.0000, 0.2116) x4
Li (0.2192, 0.0000, 0.6393) x4
Mn (0.0000, 0.5000, 0.5000) x2
Mn (0.1453, 0.5000, 0.9257) x4
O (0.0572, 0.5000, 0.2118) x4
O (0.1571, 0.0000, 0.9406) x4
O (0.1993, 0.5000, 0.6382) x4
F (0.0000, 0.0000, 0.5000) x2

Principal peaks in the range 2θ = 10–90°, sorted by position:
| h k l | two_theta | I (rel.) |
| --- | --- | --- |
| 2 0 -1 | 22.21 | 100 |
| 0 2 0 | 40.56 | 40 |
| 4 0 1 | 43.92 | 29 |
| 2 0 -3 | 44.25 | 30 |
| 4 2 1 | 61.31 | 18 |
| 2 2 -3 | 61.57 | 19 |

***

Repeat the first record exactly.
The following is a calculated powder diffractogram of SrCaZrFeO6. It was derived from a crystal structure in the Materials Project, relaxed with GGA+U, using Cu Kα X-rays.
Neutral-atom scattering factors, no anomalous dispersion.

Cell lengths 8.0446, 8.0446, 8.0446 Å; angles 90.00, 90.00, 90.00 degrees
Space group F-43m (No. 216)
One atom of each set of equivalent atoms:
Sr (0.0000, 0.0000, 0.0000) x4
Ca (0.0000, 0.0000, 0.5000) x4
Zr (0.2500, 0.2500, 0.2500) x4
Fe (0.2500, 0.2500, 0.7500) x4
O (0.0077, 0.2500, 0.7500) x24

Principal peaks in the range 2θ = 10–90°, sorted by position:
| h k l | two_theta | I (rel.) |
| --- | --- | --- |
| 1 1 1 | 19.11 | 10 |
| 2 2 0 | 31.45 | 100 |
| 4 0 0 | 45.08 | 40 |
| 4 2 2 | 56.00 | 38 |
| 4 4 0 | 65.65 | 23 |
| 6 2 0 | 74.61 | 16 |

***

What did the first record say?
The following is a calculated powder diffractogram of SrCaZrFeO6. It was derived from a crystal structure in the Materials Project, relaxed with GGA+U, using Cu Kα X-rays.
Neutral-atom scattering factors, no anomalous dispersion.

Cell lengths 8.0446, 8.0446, 8.0446 Å; angles 90.00, 90.00, 90.00 degrees
Space group F-43m (No. 216)
One atom of each set of equivalent atoms:
Sr (0.0000, 0.0000, 0.0000) x4
Ca (0.0000, 0.0000, 0.5000) x4
Zr (0.2500, 0.2500, 0.2500) x4
Fe (0.2500, 0.2500, 0.7500) x4
O (0.0077, 0.2500, 0.7500) x24

Principal peaks in the range 2θ = 10–90°, sorted by position:
| h k l | two_theta | I (rel.) |
| --- | --- | --- |
| 1 1 1 | 19.11 | 10 |
| 2 2 0 | 31.45 | 100 |
| 4 0 0 | 45.08 | 40 |
| 4 2 2 | 56.00 | 38 |
| 4 4 0 | 65.65 | 23 |
| 6 2 0 | 74.61 | 16 |